[1]
The following is a theoretical powder diffraction line list of MnReSe2. It was derived from a crystal structure in Alexandria, relaxed with GGA-PBE, using Cu Kα (weighted mean of Kα1 and Kα2).
Intensities are scaled so that the largest is 100.

Crystal structure
```
MnReSe2
1.0
3.7353 0.0000 0.0000
0.0000 3.7375 0.0000
-0.0099 0.0000 6.3856
Mn Re Se
1 1 2
Cartesian
0.0000 0.0000 0.0000
1.8676 1.8688 0.0015
1.8676 0.0000 1.6495
3.7253 1.8688 4.7380
```

The 12 most intense peaks (5 to 70 degrees two-theta), most intense first:
2theta  intensity
13.9  100
44.5  64
27.7  61
36.8  42
48.7  24
23.8  17
57.0  16
50.9  15
49.3  12
37.0  11
55.4  10
42.5  8


[2]
The following is a theoretical powder diffraction line list of DyEr4Sc3. It was derived from a crystal structure in Alexandria, relaxed with GGA-PBE, using Cu Kα (weighted mean of Kα1 and Kα2).
Intensities are scaled so that the largest is 100.

Crystal structure
```
DyEr4Sc3
1.0
5.8962 0.0000 0.0000
-1.9805 5.5856 0.0000
-0.0031 -0.0112 6.8617
Dy Er Sc
1 4 3
Cartesian
0.0000 0.0000 0.0000
2.9494 -0.0015 1.7352
0.9632 5.5759 5.1265
1.9578 2.7928 0.0000
1.9563 2.7872 3.4308
-0.0015 -0.0056 3.4308
-0.9900 2.7921 1.7441
4.9026 2.7824 5.1176
```

The 12 most intense peaks (5 to 70 degrees two-theta), most intense first:
2theta  intensity
32.0  100
37.2  44
32.2  33
15.9  27
53.8  23
37.2  22
63.8  18
63.9  18
30.6  17
53.5  15
64.0  9
66.9  8


[3]
The following is a theoretical powder diffraction line list of CaCO3. It was derived from a crystal structure in Alexandria, relaxed with GGA-PBE, using Cu Kα (weighted mean of Kα1 and Kα2).
Intensities are scaled so that the largest is 100.

Crystal structure
```
CaCO3
1.0
2.5264 1.4586 5.7437
-2.5264 1.4586 5.7437
0.0000 -2.9172 5.7437
Ca C O
2 2 6
Cartesian
0.0000 0.0000 0.0000
0.0000 0.0000 8.6156
0.0000 0.0000 4.3078
0.0000 0.0000 12.9234
-1.8767 -0.3333 7.1797
-0.6497 -1.7919 10.0515
1.2270 -1.4586 7.1797
-1.2270 1.4586 10.0515
0.6497 1.7919 7.1797
1.8767 0.3333 10.0515
```

The 12 most intense peaks (5 to 70 degrees two-theta), most intense first:
2theta  intensity
29.1  100
48.0  23
47.0  22
38.9  21
42.6  16
35.5  14
56.7  12
63.8  8
22.8  8
46.6  7
59.9  6
64.9  5


[4]
The following is a theoretical powder diffraction line list of LiBeC. It was derived from a crystal structure in Alexandria, relaxed with GGA-PBE, using Cu Kα (weighted mean of Kα1 and Kα2).
Intensities are scaled so that the largest is 100.

Crystal structure
```
LiBeC
1.0
3.4459 0.0000 0.0000
-1.4789 4.2653 0.0000
-1.1106 -2.0042 3.9368
Li Be C
2 2 2
Cartesian
0.0000 0.0000 0.0000
-1.0998 0.4035 2.5812
0.0717 2.6046 1.5877
1.7532 1.7699 0.4538
-1.6698 2.6894 1.8679
0.5765 -1.0201 2.9386
```

The 12 most intense peaks (5 to 70 degrees two-theta), most intense first:
2theta  intensity
24.1  100
23.4  21
29.5  20
22.6  18
28.6  18
44.6  15
49.3  12
46.5  11
54.2  11
62.2  10
41.0  7
40.0  6


[5]
The following is a theoretical powder diffraction line list of NaTm2IrO5. It was derived from a crystal structure in Alexandria, relaxed with GGA-PBE, using Cu Kα (weighted mean of Kα1 and Kα2).
Intensities are scaled so that the largest is 100.

Crystal structure
```
NaTm2IrO5
1.0
-1.9812 2.8219 5.4253
1.9812 -2.8219 5.4253
1.9812 2.8219 -5.4253
Na Tm Ir O
1 2 1 5
Cartesian
0.0000 0.0000 0.0000
1.9812 0.0000 3.1543
0.0000 2.8219 2.2711
0.0000 0.0000 5.4253
1.9812 1.5310 -1.6380
1.9812 1.5310 1.6380
0.0000 2.8219 0.0000
0.0000 1.2910 3.7873
0.0000 1.2910 7.0633
```

The 12 most intense peaks (5 to 70 degrees two-theta), most intense first:
2theta  intensity
32.2  100
17.7  67
56.8  32
46.8  29
31.7  27
44.7  22
33.5  19
45.8  16
46.4  16
66.0  14
33.0  12
67.3  10


[6]
The following is a theoretical powder diffraction line list of Ac4Al2O. It was derived from a crystal structure in Alexandria, relaxed with GGA-PBE, using Cu Kα (weighted mean of Kα1 and Kα2).
Intensities are scaled so that the largest is 100.

Crystal structure
```
Ac4Al2O
1.0
-2.5400 2.5400 8.8186
2.5400 -2.5400 8.8186
2.5400 2.5400 -8.8186
Ac Al O
4 2 1
Cartesian
2.5400 0.0000 0.0000
0.0000 0.0000 3.1727
0.0000 2.5400 0.0000
0.0000 0.0000 14.4644
0.0000 0.0000 6.4560
0.0000 0.0000 11.1812
0.0000 0.0000 0.0000
```

The 12 most intense peaks (5 to 70 degrees two-theta), most intense first:
2theta  intensity
26.8  100
35.3  44
32.1  39
23.1  37
47.3  33
30.4  27
48.4  25
58.4  24
30.9  22
50.8  16
42.7  16
60.4  16


[7]
The following is a theoretical powder diffraction line list of K2Hf2CrS6. It was derived from a crystal structure in Alexandria, relaxed with GGA-PBE, using Cu Kα (weighted mean of Kα1 and Kα2).
Intensities are scaled so that the largest is 100.

Crystal structure
```
K2Hf2CrS6
1.0
3.1516 -5.4512 0.0000
3.1516 5.4512 0.0000
-2.1267 0.0000 7.5773
K Hf Cr S
2 2 1 6
Cartesian
3.1516 3.6265 0.0000
3.1516 -3.6265 0.0000
2.0883 1.8387 3.7887
2.0883 -1.8387 3.7887
-1.0633 0.0000 3.7887
-0.0194 1.7634 5.2280
0.9721 0.0000 2.3820
-0.0194 -1.7634 5.2280
4.1959 1.7634 2.3493
3.2044 0.0000 5.1954
4.1959 -1.7634 2.3493
```

The 12 most intense peaks (5 to 70 degrees two-theta), most intense first:
2theta  intensity
11.7  100
32.5  73
42.9  26
50.2  22
28.6  20
29.4  18
23.5  15
39.9  14
51.7  14
61.1  13
18.0  11
16.3  8


[8]
The following is a theoretical powder diffraction line list of RbPa4Te8. It was derived from a crystal structure in Alexandria, relaxed with GGA-PBE, using Cu Kα (weighted mean of Kα1 and Kα2).
Intensities are scaled so that the largest is 100.

Crystal structure
```
RbPa4Te8
1.0
8.2853 0.0000 0.0000
-4.1427 7.1753 0.0000
0.0000 0.0000 19.4098
Rb Pa Te
2 8 16
Cartesian
0.0000 0.0000 0.0000
0.0000 0.0000 9.7049
0.0000 0.0000 4.8524
0.0000 0.0000 14.5573
-2.0474 3.6015 4.8524
2.0474 3.6015 4.8524
0.0000 7.1476 4.8524
4.1427 0.0277 14.5573
2.0953 3.5738 14.5573
6.1900 3.5738 14.5573
0.0000 2.4069 12.6096
0.0000 2.4069 16.5050
-2.0582 5.9718 12.6096
-2.0582 5.9718 16.5050
0.0000 4.7836 2.8801
0.0000 4.7836 6.8248
2.0845 1.2035 2.9047
2.0845 1.2035 6.8001
2.0582 5.9718 12.6096
2.0582 5.9718 16.5050
4.1427 2.3918 12.5850
4.1427 2.3918 16.5297
6.2009 1.2035 2.9047
6.2009 1.2035 6.8001
4.1427 4.7684 2.9047
4.1427 4.7684 6.8001
```

The 12 most intense peaks (5 to 70 degrees two-theta), most intense first:
2theta  intensity
9.1  100
31.0  58
37.4  27
25.2  25
43.7  23
26.5  19
34.0  17
44.7  14
54.5  12
66.0  11
58.6  9
45.1  7


[9]
The following is a theoretical powder diffraction line list of K2AsPdO4. It was derived from a crystal structure in Alexandria, relaxed with GGA-PBE, using Cu Kα (weighted mean of Kα1 and Kα2).
Intensities are scaled so that the largest is 100.

Crystal structure
```
K2AsPdO4
1.0
0.0000 5.9514 9.3815
2.9154 0.0000 9.3815
2.9154 5.9514 0.0000
K As Pd O
4 2 2 8
Cartesian
2.1865 4.4636 1.0430
3.6442 7.4393 5.7338
2.1865 4.4636 13.0292
3.6442 7.4393 17.7199
2.1865 4.4636 7.0361
3.6442 7.4393 11.7269
0.7288 1.4879 2.3454
5.1019 10.4150 16.4176
3.2882 3.3748 6.2352
3.2882 5.5523 7.8370
4.7459 6.3505 12.5277
4.7459 8.5280 10.9260
1.0849 3.3748 7.8370
1.0849 5.5523 6.2352
2.5426 6.3505 10.9260
2.5426 8.5280 12.5277
```

The 12 most intense peaks (5 to 70 degrees two-theta), most intense first:
2theta  intensity
17.6  100
18.9  70
32.3  56
34.2  45
39.4  26
42.4  26
52.8  26
30.0  26
44.6  18
56.1  15
36.4  15
35.7  15


[10]
The following is a theoretical powder diffraction line list of Si5Ru4. It was derived from a crystal structure in Alexandria, relaxed with GGA-PBE, using Cu Kα (weighted mean of Kα1 and Kα2).
Intensities are scaled so that the largest is 100.

Crystal structure
```
Si5Ru4
1.0
7.2409 0.0000 0.0000
-3.6204 6.2708 0.0000
0.0000 0.0000 5.3264
Si Ru
10 8
Cartesian
-1.0232 1.7723 1.3316
-2.5972 4.4985 3.9948
2.0465 0.0000 1.3316
1.0232 1.7723 3.9948
0.0000 4.1805 0.0000
0.0000 4.1805 2.6632
3.6204 2.0903 0.0000
3.6204 2.0903 2.6632
5.1944 0.0000 3.9948
2.5972 4.4985 1.3316
0.0000 0.0000 0.0000
0.0000 0.0000 2.6632
-1.4252 2.4685 3.9948
-2.1952 3.8023 1.3316
2.8504 0.0000 3.9948
1.4252 2.4685 1.3316
4.3905 0.0000 1.3316
2.1952 3.8023 3.9948
```

The 12 most intense peaks (5 to 70 degrees two-theta), most intense first:
2theta  intensity
42.1  100
43.3  69
29.8  59
28.5  53
41.7  53
55.6  38
36.7  18
33.7  15
62.0  15
63.9  15
65.7  13
64.8  11


[11]
The following is a theoretical powder diffraction line list of NaZr2As2. It was derived from a crystal structure in Alexandria, relaxed with GGA-PBE, using Cu Kα (weighted mean of Kα1 and Kα2).
Intensities are scaled so that the largest is 100.

Crystal structure
```
NaZr2As2
1.0
7.7721 0.0000 0.0000
0.0000 7.7721 0.0000
0.0000 0.0000 3.4521
Na Zr As
2 4 4
Cartesian
0.0000 0.0000 0.0000
3.8860 3.8860 0.0000
1.0590 2.8270 0.0000
2.8270 6.7131 0.0000
4.9450 1.0590 0.0000
6.7131 4.9450 0.0000
1.2060 5.0920 1.7260
2.6801 1.2060 1.7260
5.0920 6.5661 1.7260
6.5661 2.6801 1.7260
```

The 12 most intense peaks (5 to 70 degrees two-theta), most intense first:
2theta  intensity
36.7  100
36.6  34
16.1  32
46.8  13
66.2  11
49.9  10
49.8  10
53.1  8
55.5  7
22.9  4
68.3  4
34.8  3


[12]
The following is a theoretical powder diffraction line list of Ca3Hg. It was derived from a crystal structure in Alexandria, relaxed with GGA-PBE, using Cu Kα (weighted mean of Kα1 and Kα2).
Intensities are scaled so that the largest is 100.

Crystal structure
```
Ca3Hg
1.0
4.9903 -6.4072 0.0000
4.9903 6.4072 0.0000
0.0000 0.0000 4.4777
Ca Hg
6 2
Cartesian
4.9903 4.9632 3.3583
3.0248 1.6147 3.3583
3.0248 -1.6147 1.1194
6.9558 1.6147 3.3583
6.9558 -1.6147 1.1194
4.9903 -4.9632 1.1194
4.9903 2.7874 1.1194
4.9903 -2.7874 3.3583
```

The 12 most intense peaks (5 to 70 degrees two-theta), most intense first:
2theta  intensity
30.3  100
13.8  57
22.6  53
22.8  50
34.3  41
17.8  32
46.7  16
40.3  15
54.7  15
44.6  14
36.2  14
39.8  13


[13]
The following is a theoretical powder diffraction line list of Lu5Co19P12. It was derived from a crystal structure in Alexandria, relaxed with GGA-PBE, using Cu Kα (weighted mean of Kα1 and Kα2).
Intensities are scaled so that the largest is 100.

Crystal structure
```
Lu5Co19P12
1.0
11.9114 0.0000 0.0000
-5.9557 10.3156 0.0000
0.0000 0.0000 3.6359
Lu Co P
5 19 12
Cartesian
-1.1086 1.9202 0.0000
2.2172 0.0000 0.0000
0.0000 6.8771 1.8180
5.9557 3.4385 1.8180
4.8471 8.3954 0.0000
0.0000 0.0000 1.8180
-3.2858 5.6911 1.8180
-4.2603 7.3791 0.0000
-1.3771 4.9915 0.0000
-2.6494 8.2665 1.8180
0.1214 3.8879 1.8180
1.6954 2.9365 0.0000
-0.9444 9.0125 0.0000
3.3063 2.0491 1.8180
2.6700 4.6245 1.8180
5.0114 1.3031 0.0000
2.3215 6.6272 0.0000
6.5715 0.0000 1.8180
2.5280 8.4768 1.8180
4.5786 5.3241 0.0000
8.5206 0.0000 0.0000
8.4837 1.8388 1.8180
6.0771 6.4277 1.8180
8.2772 3.6884 0.0000
-2.1806 3.7769 1.8180
-4.8862 8.4631 1.8180
-2.0996 7.0645 0.0000
1.0695 1.8525 1.8180
0.8875 4.9650 0.0000
4.3612 0.0000 1.8180
3.8561 3.2511 0.0000
1.2121 8.6017 0.0000
3.7751 6.5387 1.8180
7.1678 1.7139 0.0000
9.7723 0.0000 1.8180
6.8432 5.3506 0.0000
```

The 12 most intense peaks (5 to 70 degrees two-theta), most intense first:
2theta  intensity
39.1  100
40.1  46
53.3  20
50.2  20
35.9  13
30.0  13
26.0  12
28.8  11
22.8  10
66.1  10
52.5  9
31.3  9